Record 1
# Ac3Tl3Pd8
Calculated XRD peak list, Cu Kα (λ = 1.5418 Å). Input: a crystal structure in Alexandria, relaxed with GGA-PBE.

Atomic structure:
```
data_Ac3Tl3Pd8
_space_group_name_H-M_alt 'I m m m'
_space_group_IT_number 71
_space_group_name_Hall '-I 2 2'
_cell_length_a 4.7120
_cell_length_b 9.6230
_cell_length_c 14.1415
_cell_angle_alpha 90.00
_cell_angle_beta 90.00
_cell_angle_gamma 90.00
loop_
_atom_site_label
_atom_site_fract_x
_atom_site_fract_y
_atom_site_fract_z
Ac1 0.0000 0.0000 0.0000
Ac2 0.0000 0.0000 0.2911
Tl1 0.0000 0.2296 0.5000
Tl2 0.0000 0.5000 0.0000
Pd1 0.0000 0.2792 0.1285
Pd2 0.0000 0.3556 0.3216
```

Top 8 peaks for 5 to 70 degrees two-theta, by angle:
hkl, 2θ (°), d/Å, I (rel.)
1 2 1, 27.23, 3.275, 19
1 2 3, 32.69, 2.740, 100
1 3 0, 33.80, 2.652, 36
1 3 2, 36.18, 2.483, 26
1 0 5, 37.07, 2.425, 21
2 0 0, 38.20, 2.356, 58
1 6 3, 64.48, 1.445, 17
3 2 3, 65.57, 1.424, 20

Record 2
# AcTl5Pd7
Calculated XRD peak list, Cu Kα (λ = 1.5418 Å). Input: a crystal structure in Alexandria, relaxed with GGA-PBE.

Atomic structure:
```
data_AcTl5Pd7
_space_group_name_H-M_alt 'I m m 2'
_space_group_IT_number 44
_cell_length_a 6.1056
_cell_length_b 10.1874
_cell_length_c 9.2102
_cell_angle_alpha 90.00
_cell_angle_beta 90.00
_cell_angle_gamma 90.00
loop_
_space_group_symop_operation_xyz
'x,y,z'
'-x,-y,z'
'-x,y,z'
'x,-y,z'
'x+1/2,y+1/2,z+1/2'
'-x+1/2,-y+1/2,z+1/2'
'-x+1/2,y+1/2,z+1/2'
'x+1/2,-y+1/2,z+1/2'
loop_
_atom_site_label
_atom_site_fract_x
_atom_site_fract_y
_atom_site_fract_z
Ac1 0.0000 0.0000 0.0000
Tl1 0.0000 0.5000 0.2740
Tl2 0.2410 0.2936 0.7741
Pd1 0.0000 0.0000 0.3743
Pd2 0.0000 0.0000 0.6890
Pd3 0.0000 0.2342 0.5255
Pd4 0.0000 0.3081 0.0377
Pd5 0.0000 0.5000 0.5940
```

Top 8 peaks for 5 to 70 degrees two-theta, by angle:
hkl, 2θ (°), d/Å, I (rel.)
0 3 1, 28.00, 3.186, 55
2 2 0, 34.24, 2.619, 46
0 4 0, 35.26, 2.545, 92
1 2 3, 37.23, 2.415, 26
0 0 4, 39.12, 2.303, 30
0 3 3, 39.59, 2.277, 100
2 3 1, 40.94, 2.204, 19
2 5 1, 55.10, 1.667, 23

Record 3
# AcTmPd2
Calculated XRD peak list, Cu Kα (λ = 1.5418 Å). Input: a crystal structure in Alexandria, relaxed with GGA-PBE.

Atomic structure:
```
data_AcTmPd2
_space_group_name_H-M_alt 'P 1 21/m 1'
_space_group_IT_number 11
_cell_length_a 6.1206
_cell_length_b 4.7475
_cell_length_c 7.5806
_cell_angle_alpha 90.00
_cell_angle_beta 113.78
_cell_angle_gamma 90.00
loop_
_space_group_symop_operation_xyz
'x,y,z'
'-x,-y,-z'
'-x,y+1/2,-z'
'x,-y+1/2,z'
loop_
_atom_site_label
_atom_site_fract_x
_atom_site_fract_y
_atom_site_fract_z
Ac1 0.2111 0.2500 0.3845
Tm1 0.2814 0.2500 0.9105
Pd1 0.1982 0.7500 0.0868
Pd2 0.3387 0.7500 0.7134
```

Top 8 peaks for 5 to 70 degrees two-theta, by angle:
hkl, 2θ (°), d/Å, I (rel.)
1 1 0, 24.58, 3.621, 18
0 1 2, 31.96, 2.801, 100
1 0 2, 35.52, 2.527, 11
2 1 -2, 37.29, 2.411, 55
0 2 0, 37.90, 2.374, 30
2 2 0, 50.40, 1.811, 18
2 2 -4, 63.92, 1.456, 13
4 1 -1, 65.47, 1.426, 13

Record 4
# AcZn5Pd7
Calculated XRD peak list, Cu Kα (λ = 1.5418 Å). Input: a crystal structure in Alexandria, relaxed with GGA-PBE.

Atomic structure:
```
data_AcZn5Pd7
_space_group_name_H-M_alt 'I m m 2'
_space_group_IT_number 44
_cell_length_a 5.3318
_cell_length_b 8.9889
_cell_length_c 8.9448
_cell_angle_alpha 90.00
_cell_angle_beta 90.00
_cell_angle_gamma 90.00
loop_
_space_group_symop_operation_xyz
'x,y,z'
'-x,-y,z'
'-x,y,z'
'x,-y,z'
'x+1/2,y+1/2,z+1/2'
'-x+1/2,-y+1/2,z+1/2'
'-x+1/2,y+1/2,z+1/2'
'x+1/2,-y+1/2,z+1/2'
loop_
_atom_site_label
_atom_site_fract_x
_atom_site_fract_y
_atom_site_fract_z
Ac1 0.0000 0.0000 0.0000
Zn1 0.0000 0.5000 0.2595
Zn2 0.2468 0.2517 0.7434
Pd1 0.0000 0.0000 0.3407
Pd2 0.0000 0.0000 0.6505
Pd3 0.0000 0.2850 0.4880
Pd4 0.0000 0.3450 0.9977
Pd5 0.0000 0.5000 0.7215
```

Top 8 peaks for 5 to 70 degrees two-theta, by angle:
hkl, 2θ (°), d/Å, I (rel.)
2 0 0, 33.62, 2.666, 29
1 3 0, 34.33, 2.612, 34
1 0 3, 34.46, 2.602, 24
2 0 2, 39.32, 2.291, 56
1 3 2, 40.00, 2.254, 100
0 0 4, 40.33, 2.236, 26
2 2 2, 44.40, 2.040, 32
3 3 2, 64.43, 1.446, 24

Record 5
# Ac2Zn2Pd15
Calculated XRD peak list, Cu Kα (λ = 1.5418 Å). Input: a crystal structure in Alexandria, relaxed with GGA-PBE.

Atomic structure:
```
data_Ac2Zn2Pd15
_space_group_name_H-M_alt 'R -3 m'
_space_group_IT_number 166
_space_group_name_Hall '-R 3 2"'
_cell_length_a 9.2279
_cell_length_b 9.2279
_cell_length_c 13.8279
_cell_angle_alpha 90.00
_cell_angle_beta 90.00
_cell_angle_gamma 120.00
loop_
_atom_site_label
_atom_site_fract_x
_atom_site_fract_y
_atom_site_fract_z
Ac1 0.0000 0.0000 0.1576
Zn1 0.0000 0.0000 0.4069
Pd1 0.0000 0.2963 0.5000
Pd2 0.0000 0.5000 0.0000
Pd3 0.0016 0.5008 0.3469
```

Top 8 peaks for 5 to 70 degrees two-theta, by angle:
hkl, 2θ (°), d/Å, I (rel.)
1 1 3, 27.35, 3.261, 15
3 0 0, 33.64, 2.664, 16
0 2 4, 34.30, 2.614, 12
0 0 6, 39.06, 2.306, 100
2 0 5, 39.63, 2.274, 12
2 2 3, 43.89, 2.063, 18
2 2 6, 56.43, 1.631, 16
3 3 3, 63.80, 1.459, 11

Record 6
# AcZn2Pd6
Calculated XRD peak list, Cu Kα (λ = 1.5418 Å). Input: a crystal structure in Alexandria, relaxed with GGA-PBE.

Atomic structure:
Unit cell a=11.4487 b=11.4487 c=11.4487 alpha=90.00 beta=90.00 gamma=90.00
Space group Fd-3m (No. 227, origin choice 2)
Inequivalent atoms, fractional coordinates:
Ac 0.1250 0.1250 0.1250 (multiplicity 8)
Zn 0.0000 0.0000 0.5000 (multiplicity 16)
Pd 0.1231 0.3750 0.3750 (multiplicity 48)

Top 8 peaks for 5 to 70 degrees two-theta, by angle:
hkl, 2θ (°), d/Å, I (rel.)
1 1 1, 13.40, 6.610, 10
3 1 1, 25.81, 3.452, 43
4 0 0, 31.25, 2.862, 70
5 1 1, 40.96, 2.203, 18
4 4 0, 44.78, 2.024, 100
4 4 4, 55.62, 1.652, 18
5 5 3, 62.29, 1.490, 11
8 0 0, 65.19, 1.431, 16

Record 7
# Ac3Zn9Pd2
Calculated XRD peak list, Cu Kα (λ = 1.5418 Å). Input: a crystal structure in Alexandria, relaxed with GGA-PBE.

Atomic structure:
```
data_Ac3Zn9Pd2
_space_group_name_H-M_alt 'I m m m'
_space_group_IT_number 71
_space_group_name_Hall '-I 2 2'
_cell_length_a 4.5029
_cell_length_b 9.5665
_cell_length_c 13.5697
_cell_angle_alpha 90.00
_cell_angle_beta 90.00
_cell_angle_gamma 90.00
loop_
_atom_site_label
_atom_site_fract_x
_atom_site_fract_y
_atom_site_fract_z
Ac1 0.0000 0.0000 0.0000
Ac2 0.0000 0.0000 0.3062
Zn1 0.0000 0.2849 0.1227
Zn2 0.0000 0.3536 0.3335
Zn3 0.0000 0.5000 0.0000
Pd1 0.0000 0.2108 0.5000
```

Top 8 peaks for 5 to 70 degrees two-theta, by angle:
hkl, 2θ (°), d/Å, I (rel.)
1 1 0, 21.78, 4.080, 44
1 0 3, 27.97, 3.190, 32
1 2 3, 33.76, 2.655, 100
0 3 3, 34.40, 2.607, 55
1 3 0, 34.46, 2.602, 40
1 0 5, 38.74, 2.324, 19
2 0 0, 40.05, 2.252, 40
2 3 3, 53.81, 1.704, 20

Record 8
# AcZnPd
Calculated XRD peak list, Cu Kα (λ = 1.5418 Å). Input: a crystal structure in Alexandria, relaxed with GGA-PBE.

Atomic structure:
```
data_AcZnPd
_space_group_name_H-M_alt 'I m m m'
_space_group_IT_number 71
_space_group_name_Hall '-I 2 2'
_cell_length_a 4.5748
_cell_length_b 7.9525
_cell_length_c 8.1499
_cell_angle_alpha 90.00
_cell_angle_beta 90.00
_cell_angle_gamma 90.00
loop_
_atom_site_label
_atom_site_fract_x
_atom_site_fract_y
_atom_site_fract_z
Ac1 0.0000 0.0000 0.2448
Zn1 0.0000 0.3357 0.0000
Pd1 0.0000 0.3213 0.5000
```

Top 8 peaks for 5 to 70 degrees two-theta, by angle:
hkl, 2θ (°), d/Å, I (rel.)
1 1 0, 22.42, 3.965, 15
0 2 2, 31.46, 2.843, 100
1 3 0, 39.28, 2.294, 30
2 0 0, 39.39, 2.287, 15
0 0 4, 44.47, 2.037, 11
2 2 2, 51.24, 1.783, 19
2 0 4, 60.84, 1.523, 25
1 5 2, 66.34, 1.409, 16